NaCa2RuO5: theoretical XRD peak list (a wavelength of 1.5418 Å), based on a DFT-relaxed cell (PBE, Alexandria).
No peak broadening, texture or thermal motion is included.

Main lines, low angle first (10° ≤ 2θ ≤ 80°):
| 2θ/deg | d_spacing | I (rel.) |
| --- | --- | --- |
| 17.2 | 5.153 | 991 |
| 24.4 | 3.641 | 242 |
| 30.7 | 2.914 | 216 |
| 32.2 | 2.779 | 1000 |
| 45.3 | 2.003 | 358 |
| 46.2 | 1.965 | 253 |
| 47.1 | 1.929 | 194 |
| 55.5 | 1.655 | 208 |

Unit cell a=6.527 b=6.527 c=6.527 alpha=145.62 beta=126.96 gamma=64.75
Fractional positions:
Na 0.000 0.000 0.000
Ca 0.282 0.782 0.500
Ca 0.718 0.218 0.500
Ru 0.500 0.500 0.000
O 0.138 0.367 0.771
O 0.405 0.633 0.771
O 0.500 0.000 0.500
O 0.595 0.367 0.229
O 0.862 0.633 0.229